The following is a computed powder diffractogram of Pu2HfAs3. It was derived from a cell relaxed with GGA-PBE, using Cu Kα, 1.54184 Å.

Peak list (12 most intense, 2θ = 10–90°, low angle first)
2θ (°)  intensity
27.1  42
31.4  100
45.0  62
45.1  12
53.4  15
53.4  7
55.9  13
56.0  13
65.6  12
74.6  22
83.0  13
83.2  13

a = 13.3301 Å, b = 12.7112 Å, c = 6.9741 Å
α = 79.43°, β = 69.62°, γ = 30.95°
Fractional coordinates of all 24 atoms:
Pu  0.0434  0.0434  0.2066
Pu  0.1228  0.1228  0.6272
Pu  0.2066  0.2066  0.0434
Pu  0.3728  0.3728  0.8772
Pu  0.6272  0.6272  0.1228
Pu  0.7934  0.7934  0.9566
Pu  0.8772  0.8772  0.3728
Pu  0.9566  0.9566  0.7934
Hf  0.2911  0.2911  0.4589
Hf  0.4589  0.4589  0.2911
Hf  0.5411  0.5411  0.7089
Hf  0.7089  0.7089  0.5411
As  0.0379  0.5407  0.2256
As  0.1409  0.6091  0.6091
As  0.2256  0.6958  0.0379
As  0.3042  0.7744  0.4593
As  0.3909  0.8591  0.8591
As  0.4593  0.9621  0.3042
As  0.5407  0.0379  0.6958
As  0.6091  0.1409  0.1409
As  0.6958  0.2256  0.5407
As  0.7744  0.3042  0.9621
As  0.8591  0.3909  0.3909
As  0.9621  0.4593  0.7744


The following is a computed powder diffractogram of Pu4HfAs5. It was derived from a cell relaxed with GGA-PBE, using Cu Kα, 1.54184 Å.

Peak list (12 most intense, 2θ = 10–90°, low angle first)
2θ (°)  intensity
26.8  45
31.0  100
44.5  75
52.7  23
55.2  26
64.8  8
71.3  10
73.4  12
73.5  22
81.8  9
81.9  17
88.1  6

a = 7.0558 Å, b = 7.0558 Å, c = 7.0558 Å
α = 99.63°, β = 99.63°, γ = 131.71°
Fractional coordinates of all 10 atoms:
Pu  0.0960  0.3007  0.3967
Pu  0.3007  0.9040  0.2047
Pu  0.6993  0.0960  0.7953
Pu  0.9040  0.6993  0.6033
Hf  0.5000  0.5000  0.0000
As  0.0000  0.0000  0.0000
As  0.2122  0.5973  0.8095
As  0.4027  0.2122  0.6148
As  0.5973  0.7878  0.3852
As  0.7878  0.4027  0.1905


The following is a computed powder diffractogram of Pu5Hf3As8. It was derived from a cell relaxed with GGA-PBE, using Cu Kα, 1.54184 Å.

Peak list (12 most intense, 2θ = 10–90°, low angle first)
2θ (°)  intensity
27.1  11
27.2  31
31.5  100
45.0  37
45.3  37
53.6  16
55.8  7
56.2  20
65.8  12
74.6  17
74.9  17
83.4  13

a = 8.0518 Å, b = 8.0518 Å, c = 8.0518 Å
α = 59.69°, β = 59.69°, γ = 59.69°
Fractional coordinates of all 16 atoms:
Pu  0.0000  0.0000  0.0000
Pu  0.0000  0.5000  0.5000
Pu  0.5000  0.0000  0.5000
Pu  0.5000  0.5000  0.0000
Pu  0.5000  0.5000  0.5000
Hf  0.0000  0.0000  0.5000
Hf  0.0000  0.5000  0.0000
Hf  0.5000  0.0000  0.0000
As  0.2360  0.7499  0.7499
As  0.2438  0.2438  0.2438
As  0.2501  0.2501  0.7640
As  0.2501  0.7640  0.2501
As  0.7499  0.2360  0.7499
As  0.7499  0.7499  0.2360
As  0.7562  0.7562  0.7562
As  0.7640  0.2501  0.2501


The following is a computed powder diffractogram of PuHfAs2Rh5. It was derived from a cell relaxed with GGA-PBE, using Cu Kα, 1.54184 Å.

Peak list (12 most intense, 2θ = 10–90°, low angle first)
2θ (°)  intensity
24.5  43
27.4  100
32.3  56
35.4  84
40.1  22
44.8  80
46.0  93
51.7  22
53.3  33
65.2  26
69.5  28
83.4  33

a = 4.0476 Å, b = 4.0476 Å, c = 10.9119 Å
α = 90.00°, β = 90.00°, γ = 90.00°
Fractional coordinates of all 9 atoms:
Pu  0.0000  0.0000  0.0000
Hf  0.0000  0.0000  0.5000
As  0.5000  0.5000  0.2191
As  0.5000  0.5000  0.7809
Rh  0.0000  0.5000  0.3363
Rh  0.0000  0.5000  0.6637
Rh  0.5000  0.0000  0.3363
Rh  0.5000  0.0000  0.6637
Rh  0.5000  0.5000  0.0000